Starting from a DFT-relaxed cell (PBE, Alexandria), the PXRD pattern of SnC was computed for Cu Kα (weighted mean of Kα1 and Kα2).

Atomic structure:
Cell lengths 6.2444, 6.2444, 6.2444 Å; angles 90.00, 90.00, 90.00 degrees
Positions (direct):
Sn 0.0000 0.2500 0.5000
Sn 0.0000 0.7500 0.5000
Sn 0.2500 0.5000 0.0000
Sn 0.5000 0.0000 0.2500
Sn 0.5000 0.0000 0.7500
Sn 0.7500 0.5000 0.0000
C 0.0000 0.5000 0.2500
C 0.0000 0.5000 0.7500
C 0.2500 0.0000 0.5000
C 0.5000 0.2500 0.0000
C 0.5000 0.7500 0.0000
C 0.7500 0.0000 0.5000

Peak list (10 most intense, 2θ from 10° to 80°, by angle)
| two_theta | I/Imax |
| --- | --- |
| 20.1 | 58 |
| 28.6 | 12 |
| 32.1 | 100 |
| 35.2 | 28 |
| 46.0 | 13 |
| 50.6 | 30 |
| 52.9 | 26 |
| 55.0 | 15 |
| 59.2 | 14 |
| 68.9 | 25 |

---

Starting from a DFT-relaxed cell (PBE, Alexandria), the PXRD pattern of SnTeC2 was computed for Cu Kα (weighted mean of Kα1 and Kα2).

Atomic structure:
Cell lengths 5.0846, 5.0846, 11.2763 Å; angles 90.00, 90.00, 90.00 degrees
Positions (direct):
Sn 0.0000 0.0000 0.0000
Sn 0.0000 0.5000 0.2500
Sn 0.5000 0.0000 0.7500
Sn 0.5000 0.5000 0.5000
Te 0.0000 0.0000 0.5000
Te 0.0000 0.5000 0.7500
Te 0.5000 0.0000 0.2500
Te 0.5000 0.5000 0.0000
C 0.2376 0.2500 0.1250
C 0.2500 0.7376 0.3750
C 0.2500 0.7624 0.8750
C 0.2624 0.2500 0.6250
C 0.7376 0.7500 0.6250
C 0.7500 0.2376 0.8750
C 0.7500 0.2624 0.3750
C 0.7624 0.7500 0.1250

Peak list (10 most intense, 2θ from 10° to 80°, by angle)
| two_theta | I/Imax |
| --- | --- |
| 29.5 | 100 |
| 31.7 | 17 |
| 35.3 | 26 |
| 48.2 | 30 |
| 50.8 | 13 |
| 55.1 | 17 |
| 59.8 | 27 |
| 61.1 | 11 |
| 77.4 | 6 |
| 78.2 | 13 |

---

Starting from a DFT-relaxed cell (PBE, Alexandria), the PXRD pattern of Ti7Sn3C2 was computed for Cu Kα (weighted mean of Kα1 and Kα2).

Atomic structure:
Cell lengths 11.6992, 11.6992, 4.1350 Å; angles 90.00, 90.00, 159.64 degrees
Positions (direct):
Ti 0.0000 0.0000 0.0000
Ti 0.0965 0.9035 0.5000
Ti 0.2978 0.7022 0.5000
Ti 0.4029 0.5971 0.0000
Ti 0.5971 0.4029 0.0000
Ti 0.7022 0.2978 0.5000
Ti 0.9035 0.0965 0.5000
Sn 0.1943 0.8057 0.0000
Sn 0.5000 0.5000 0.5000
Sn 0.8057 0.1943 0.0000
C 0.3869 0.6131 0.5000
C 0.6131 0.3869 0.5000

Peak list (10 most intense, 2θ from 10° to 80°, by angle)
| two_theta | I/Imax |
| --- | --- |
| 22.9 | 12 |
| 24.4 | 11 |
| 36.4 | 100 |
| 39.1 | 21 |
| 43.8 | 33 |
| 60.1 | 23 |
| 63.6 | 10 |
| 69.1 | 14 |
| 75.6 | 23 |
| 77.3 | 11 |

---

Starting from a DFT-relaxed cell (PBE, Alexandria), the PXRD pattern of Ti7SnC2 was computed for Cu Kα (weighted mean of Kα1 and Kα2).

Atomic structure:
Cell lengths 6.5171, 6.5171, 4.1842 Å; angles 90.00, 90.00, 116.52 degrees
Positions (direct):
Ti 0.0000 0.0000 0.0000
Ti 0.1620 0.4345 0.0000
Ti 0.2223 0.7777 0.5000
Ti 0.4345 0.1620 0.0000
Ti 0.5655 0.8380 0.0000
Ti 0.7777 0.2223 0.5000
Ti 0.8380 0.5655 0.0000
Sn 0.5000 0.5000 0.5000
C 0.2038 0.7962 0.0000
C 0.7962 0.2038 0.0000

Peak list (10 most intense, 2θ from 10° to 80°, by angle)
| two_theta | I/Imax |
| --- | --- |
| 15.2 | 44 |
| 26.2 | 51 |
| 33.8 | 82 |
| 34.9 | 100 |
| 39.0 | 61 |
| 41.9 | 76 |
| 43.2 | 49 |
| 46.0 | 48 |
| 61.8 | 45 |
| 76.7 | 30 |

---

Starting from a DFT-relaxed cell (PBE, Alexandria), the PXRD pattern of Ti5SnC was computed for Cu Kα (weighted mean of Kα1 and Kα2).

Atomic structure:
Cell lengths 4.5558, 5.8133, 8.4055 Å; angles 90.00, 90.00, 90.00 degrees
Positions (direct):
Ti 0.0000 0.0000 0.0000
Ti 0.0000 0.2515 0.3280
Ti 0.0000 0.2515 0.6720
Ti 0.0000 0.7485 0.3280
Ti 0.0000 0.7485 0.6720
Ti 0.5000 0.2485 0.1720
Ti 0.5000 0.2485 0.8280
Ti 0.5000 0.5000 0.5000
Ti 0.5000 0.7515 0.1720
Ti 0.5000 0.7515 0.8280
Sn 0.0000 0.5000 0.0000
Sn 0.5000 0.0000 0.5000
C 0.0000 0.5000 0.5000
C 0.5000 0.0000 0.0000

Peak list (10 most intense, 2θ from 10° to 80°, by angle)
| two_theta | I/Imax |
| --- | --- |
| 24.8 | 11 |
| 32.8 | 10 |
| 37.7 | 100 |
| 38.3 | 58 |
| 39.6 | 29 |
| 53.8 | 11 |
| 55.7 | 24 |
| 67.6 | 15 |
| 68.8 | 10 |
| 76.8 | 14 |

---

Starting from a DFT-relaxed cell (PBE, Alexandria), the PXRD pattern of Ti7Sn2C2 was computed for Cu Kα (weighted mean of Kα1 and Kα2).

Atomic structure:
Cell lengths 5.6350, 5.6350, 5.9021 Å; angles 90.00, 90.00, 104.41 degrees
Positions (direct):
Ti 0.0000 0.0000 0.0000
Ti 0.0000 0.5000 0.2189
Ti 0.0000 0.5000 0.7811
Ti 0.5000 0.0000 0.2189
Ti 0.5000 0.0000 0.7811
Ti 0.5000 0.5000 0.2088
Ti 0.5000 0.5000 0.7912
Sn 0.1956 0.1956 0.5000
Sn 0.8044 0.8044 0.5000
C 0.2696 0.7304 0.0000
C 0.7304 0.2696 0.0000

Peak list (10 most intense, 2θ from 10° to 80°, by angle)
| two_theta | I/Imax |
| --- | --- |
| 25.1 | 59 |
| 30.0 | 43 |
| 34.6 | 43 |
| 36.3 | 69 |
| 36.5 | 56 |
| 40.5 | 76 |
| 43.4 | 32 |
| 45.3 | 100 |
| 63.0 | 38 |
| 77.0 | 30 |